# 1
The following is a simulated PXRD pattern of V2NiP2H8O14. It was derived from a crystal structure in Alexandria, relaxed with GGA+U, using a wavelength of 1.5418 Å.
Kinematic intensities with the Lorentz-polarization factor, no thermal factor.

Most intense lines, 15° ≤ 2θ ≤ 90°, low angle first:
Position (°2θ)	Rel. int.
15.5	52.2
19.8	32.8
24.3	100.0
26.5	59.6
28.2	83.5
31.2	89.5
32.3	54.5
40.3	39.7
45.3	36.6
48.9	44.2

Cell lengths 8.071, 8.071, 8.071 Å; angles 133.80, 133.80, 67.40 degrees
Atoms (fractional coordinates):
V (0.223, 0.223, 0.000)
V (0.777, 0.777, 0.000)
Ni (0.500, 0.500, 0.000)
P (0.250, 0.750, 0.500)
P (0.750, 0.250, 0.500)
H (0.087, 0.617, 0.824)
H (0.207, 0.737, 0.824)
H (0.263, 0.087, 0.471)
H (0.383, 0.207, 0.471)
H (0.617, 0.793, 0.529)
H (0.737, 0.913, 0.529)
H (0.793, 0.263, 0.176)
H (0.913, 0.383, 0.176)
O (0.123, 0.844, 0.330)
O (0.156, 0.486, 0.278)
O (0.207, 0.877, 0.722)
O (0.237, 0.693, 0.930)
O (0.307, 0.237, 0.544)
O (0.345, 0.345, 0.000)
O (0.486, 0.207, 0.330)
O (0.514, 0.793, 0.670)
O (0.655, 0.655, 0.000)
O (0.693, 0.763, 0.456)
O (0.763, 0.307, 0.070)
O (0.793, 0.123, 0.278)
O (0.844, 0.514, 0.722)
O (0.877, 0.156, 0.670)



# 2
The following is a simulated PXRD pattern of Ac2TlVO5. It was derived from a crystal structure in Alexandria, relaxed with GGA+U, using a wavelength of 1.5418 Å.
Kinematic intensities with the Lorentz-polarization factor, no thermal factor.

Most intense lines, 15° ≤ 2θ ≤ 90°, low angle first:
Position (°2θ)	Rel. int.
27.3	27.5
27.6	32.1
29.8	100.0
31.4	12.9
35.9	14.0
42.3	17.6
43.0	14.0
45.3	13.9
50.2	25.0
53.9	14.8

Cell lengths 6.874, 6.874, 6.874 Å; angles 144.39, 123.97, 68.17 degrees
Atoms (fractional coordinates):
Ac (0.215, 0.215, 0.000)
Ac (0.785, 0.785, 0.000)
Tl (0.500, 0.000, 0.500)
V (0.000, 0.500, 0.500)
O (0.000, 0.000, 0.000)
O (0.072, 0.361, 0.711)
O (0.350, 0.639, 0.711)
O (0.650, 0.361, 0.289)
O (0.928, 0.639, 0.289)